[1]
Structure and theoretical powder diffractogram of In3Ni (a structure optimized by DFT (PBE); Cu Kα (weighted mean of Kα1 and Kα2)).

Peak list (10 most intense, 2θ = 5–70°, low angle first)
2θ (°)  Rel. int.
19.6  2
22.8  5
35.5  100
36.3  1
39.8  18
41.9  31
48.3  1
59.2  22
60.8  10
69.4  13

Structural model:
Unit cell a=5.4628 b=5.4628 c=5.4628 alpha=133.53 beta=133.53 gamma=67.82
Positions (direct):
In1 0.0000 0.0000 0.0000
In2 0.2500 0.7500 0.5000
In3 0.7500 0.2500 0.5000
Ni1 0.5000 0.5000 0.0000

=====

[2]
Structure and theoretical powder diffractogram of InNi3 (a structure optimized by DFT (PBE); Cu Kα (weighted mean of Kα1 and Kα2)).

Peak list (10 most intense, 2θ = 5–70°, low angle first)
2θ (°)  Rel. int.
11.1  10
22.2  5
33.6  5
37.1  4
39.9  100
41.5  5
45.3  21
48.1  55
63.1  3
66.4  21

Structural model:
Unit cell a=8.1678 b=8.1678 c=8.1678 alpha=19.85 beta=19.85 gamma=19.85
Positions (direct):
In1 0.0000 0.0000 0.0000
Ni1 0.2439 0.2439 0.2439
Ni2 0.5000 0.5000 0.5000
Ni3 0.7561 0.7561 0.7561

=====

[3]
Structure and theoretical powder diffractogram of InNi3 (a structure optimized by DFT (PBE); Cu Kα (weighted mean of Kα1 and Kα2)).

Peak list (10 most intense, 2θ = 5–70°, low angle first)
2θ (°)  Rel. int.
28.6  13
33.5  5
38.9  25
43.0  25
44.6  100
52.2  3
55.5  2
56.9  1
59.3  14
69.8  2

Structural model:
Unit cell a=5.3525 b=5.3525 c=4.2113 alpha=90.00 beta=90.00 gamma=120.00
Positions (direct):
In1 0.3333 0.6667 0.2500
In2 0.6667 0.3333 0.7500
Ni1 0.1563 0.3127 0.7500
Ni2 0.1563 0.8437 0.7500
Ni3 0.3127 0.1563 0.2500
Ni4 0.6873 0.8437 0.7500
Ni5 0.8437 0.1563 0.2500
Ni6 0.8437 0.6873 0.2500